Record 1
Starting from a cell relaxed with PBE, the XRD peak list of Nd5Sm2Sc2 was simulated for Cu Kα.
Kinematic intensities with the Lorentz-polarization factor, no thermal factor.

Structural model:
Unit cell a=5.570 b=21.021 c=10.062 alpha=90.00 beta=90.00 gamma=90.00
Space group Imma (No. 74)
One atom of each set of equivalent atoms:
Nd  0.000  0.111  0.136
Nd  0.000  0.157  0.629
Nd  0.000  0.250  0.340
Sm  0.000  0.000  0.500
Sm  0.000  0.250  0.941
Sc  0.000  0.045  0.838

The 8 most intense peaks (2θ from 5° to 70°), by intensity:
two_theta  Rel. int.
32.09  100.0
27.06  44.3
32.30  40.2
31.45  34.0
31.08  16.8
54.05  13.2
45.31  13.0
57.25  11.4

***

Record 2
Starting from a cell relaxed with PBE, the XRD peak list of Nd3Sm5Sc was simulated for Cu Kα.
Kinematic intensities with the Lorentz-polarization factor, no thermal factor.

Structural model:
Unit cell a=11.236 b=8.227 c=14.703 alpha=90.00 beta=112.09 gamma=90.00
Space group C2/m (No. 12)
One atom of each set of equivalent atoms:
Nd  0.000  0.000  0.000
Nd  0.000  0.000  0.500
Nd  0.109  0.000  0.254
Nd  0.146  0.500  0.256
Sm  0.000  0.326  0.000
Sm  0.081  0.289  0.663
Sm  0.195  0.500  0.884
Sm  0.199  0.500  0.501
Sc  0.189  0.000  0.880

The 8 most intense peaks (2θ from 5° to 70°), by intensity:
two_theta  Rel. int.
31.86  100.0
30.80  85.0
30.60  77.7
29.29  72.7
29.95  60.4
27.66  60.4
21.60  40.9
26.86  38.6

***

Record 3
Starting from a cell relaxed with PBE, the XRD peak list of Nd2SmSc3 was simulated for Cu Kα.
Kinematic intensities with the Lorentz-polarization factor, no thermal factor.

Structural model:
Unit cell a=16.079 b=5.367 c=9.941 alpha=90.00 beta=122.72 gamma=90.00
Space group C2/m (No. 12)
One atom of each set of equivalent atoms:
Nd  0.031  0.000  0.344
Nd  0.199  0.500  0.345
Sm  0.135  0.500  0.655
Sc  0.051  0.500  0.904
Sc  0.115  0.000  0.095
Sc  0.219  0.000  0.906

The 8 most intense peaks (2θ from 5° to 70°), by intensity:
two_theta  Rel. int.
31.85  100.0
33.41  50.9
25.79  49.3
58.73  25.2
47.02  19.1
47.98  18.1
10.58  17.8
32.10  13.7